Structure and computed powder diffraction line list of MgP2H16O10 (the PBE geometry in the Materials Project; Cu Kα, 1.54184 Å).
Intensities are scaled so that the largest is 100.

Structural model:
a = 7.303 Å, b = 7.303 Å, c = 10.548 Å
α = 90.00°, β = 90.00°, γ = 90.00°
Sites, in units of the cell vectors:
Mg (0.250, 0.750, 0.250)
Mg (0.750, 0.250, 0.750)
P (0.250, 0.250, 0.011)
P (0.250, 0.250, 0.511)
P (0.750, 0.750, 0.489)
P (0.750, 0.750, 0.989)
H (0.046, 0.062, 0.194)
H (0.046, 0.438, 0.194)
H (0.062, 0.046, 0.694)
H (0.062, 0.454, 0.694)
H (0.097, 0.250, 0.429)
H (0.139, 0.750, 0.000)
H (0.250, 0.097, 0.929)
H (0.250, 0.403, 0.929)
H (0.250, 0.639, 0.500)
H (0.250, 0.861, 0.500)
H (0.361, 0.750, 0.000)
H (0.403, 0.250, 0.429)
H (0.438, 0.046, 0.694)
H (0.438, 0.454, 0.694)
H (0.454, 0.062, 0.194)
H (0.454, 0.438, 0.194)
H (0.546, 0.562, 0.806)
H (0.546, 0.938, 0.806)
H (0.562, 0.546, 0.306)
H (0.562, 0.954, 0.306)
H (0.597, 0.750, 0.571)
H (0.639, 0.250, 0.000)
H (0.750, 0.139, 0.500)
H (0.750, 0.361, 0.500)
H (0.750, 0.597, 0.071)
H (0.750, 0.903, 0.071)
H (0.861, 0.250, 0.000)
H (0.903, 0.750, 0.571)
H (0.938, 0.546, 0.306)
H (0.938, 0.954, 0.306)
H (0.954, 0.562, 0.806)
H (0.954, 0.938, 0.806)
O (0.047, 0.547, 0.250)
O (0.047, 0.953, 0.250)
O (0.071, 0.250, 0.088)
O (0.250, 0.071, 0.588)
O (0.250, 0.429, 0.588)
O (0.250, 0.750, 0.054)
O (0.250, 0.750, 0.446)
O (0.429, 0.250, 0.088)
O (0.453, 0.547, 0.250)
O (0.453, 0.953, 0.250)
O (0.547, 0.047, 0.750)
O (0.547, 0.453, 0.750)
O (0.571, 0.750, 0.912)
O (0.750, 0.250, 0.554)
O (0.750, 0.250, 0.946)
O (0.750, 0.571, 0.412)
O (0.750, 0.929, 0.412)
O (0.929, 0.750, 0.912)
O (0.953, 0.047, 0.750)
O (0.953, 0.453, 0.750)

Main lines, low angle first (10° ≤ 2θ ≤ 90°):
- 14.75°, intensity 66, (1 0 1)
- 20.77°, intensity 38, (1 0 2)
- 24.12°, intensity 53, (1 1 2)
- 24.37°, intensity 25, (2 0 0)
- 25.82°, intensity 17, (2 0 1)
- 28.61°, intensity 20, (2 1 1)
- 29.76°, intensity 100, (2 0 2)
- 34.74°, intensity 29, (2 2 0)
- 37.59°, intensity 16, (2 1 3)
- 45.60°, intensity 14, (3 2 1)
- 49.40°, intensity 29, (2 2 4)
- 49.95°, intensity 17, (4 0 0)